The following is a computed X-ray powder pattern of Ac2GePt4Pb2. It was derived from a structure optimized by DFT (GGA-PBE), using Cu Kα (weighted mean of Kα1 and Kα2).
Neutral-atom scattering factors, no anomalous dispersion.

Most intense lines, 2θ = 15–90°, low angle first:
2θ 32.46, intensity 100; 2θ 36.39, intensity 51; 2θ 40.06, intensity 9; 2θ 41.75, intensity 12; 2θ 52.42, intensity 19; 2θ 55.23, intensity 14; 2θ 63.02, intensity 31; 2θ 67.97, intensity 11; 2θ 76.81, intensity 7; 2θ 88.58, intensity 9

Crystal structure
```
9
Lattice="-3.4912 3.4912 4.5012 3.4912 -3.4912 4.5012 3.4912 3.4912 -4.5012" Properties=species:S:1:pos:R:3 pbc="T T T"
Ac 3.4912 0.0000 2.2506
Ac 0.0000 3.4912 2.2506
Ge 0.0000 0.0000 0.0000
Pt 1.7507 1.7507 0.0000
Pt 1.7406 -1.7406 4.5012
Pt -1.7406 1.7406 4.5012
Pt 1.7406 1.7406 4.5012
Pb 0.0000 0.0000 2.9412
Pb 0.0000 0.0000 6.0612
```

---

The following is a computed X-ray powder pattern of Ac2Sc2GePb2. It was derived from a structure optimized by DFT (GGA-PBE), using Cu Kα (weighted mean of Kα1 and Kα2).
Neutral-atom scattering factors, no anomalous dispersion.

Most intense lines, 2θ = 15–90°, low angle first:
2θ 24.85, intensity 100; 2θ 31.02, intensity 78; 2θ 32.27, intensity 50; 2θ 35.43, intensity 61; 2θ 47.79, intensity 48; 2θ 50.97, intensity 22; 2θ 57.51, intensity 21; 2θ 60.92, intensity 24; 2θ 62.93, intensity 20; 2θ 72.49, intensity 28

Crystal structure
```
14
Lattice="5.0674 0.0000 0.0000 0.0000 5.0674 0.0000 0.0000 0.0000 17.5257" Properties=species:S:1:pos:R:3 pbc="T T T"
Ac 0.0000 0.0000 3.0417
Ac 0.0000 0.0000 14.4840
Ac 2.5337 2.5337 5.7211
Ac 2.5337 2.5337 11.8045
Sc 0.0000 2.5337 0.0000
Sc 0.0000 2.5337 8.7628
Sc 2.5337 0.0000 0.0000
Sc 2.5337 0.0000 8.7628
Ge 0.0000 0.0000 0.0000
Ge 2.5337 2.5337 8.7628
Pb 0.0000 0.0000 6.6146
Pb 0.0000 0.0000 10.9111
Pb 2.5337 2.5337 2.1483
Pb 2.5337 2.5337 15.3774
```

---

The following is a computed X-ray powder pattern of Ac2SnGePb. It was derived from a structure optimized by DFT (GGA-PBE), using Cu Kα (weighted mean of Kα1 and Kα2).
Neutral-atom scattering factors, no anomalous dispersion.

Most intense lines, 2θ = 15–90°, low angle first:
2θ 25.22, intensity 18; 2θ 29.28, intensity 100; 2θ 30.73, intensity 15; 2θ 31.47, intensity 12; 2θ 32.90, intensity 32; 2θ 37.56, intensity 15; 2θ 37.67, intensity 20; 2θ 45.84, intensity 12; 2θ 58.09, intensity 17; 2θ 62.92, intensity 12

Crystal structure
```
10
Lattice="4.7756 0.0000 0.0000 0.0000 9.5776 0.0000 0.0000 0.0000 7.0635" Properties=species:S:1:pos:R:3 pbc="T T T"
Ac 1.1939 0.3024 1.6723
Ac 1.1939 4.4864 1.6723
Ac 3.5817 5.0912 5.3912
Ac 3.5817 9.2752 5.3912
Sn 1.1939 7.1832 3.8702
Sn 3.5817 2.3944 3.1933
Ge 1.1939 7.1832 6.6538
Ge 3.5817 2.3944 0.4097
Pb 1.1939 2.3944 5.4326
Pb 3.5817 7.1832 1.6308
```

---

The following is a computed X-ray powder pattern of Ac3Ge2Pd9. It was derived from a structure optimized by DFT (GGA-PBE), using Cu Kα (weighted mean of Kα1 and Kα2).
Neutral-atom scattering factors, no anomalous dispersion.

Most intense lines, 2θ = 15–90°, low angle first:
2θ 29.96, intensity 36; 2θ 32.52, intensity 26; 2θ 32.64, intensity 70; 2θ 34.29, intensity 100; 2θ 41.52, intensity 17; 2θ 42.67, intensity 14; 2θ 43.08, intensity 35; 2θ 47.00, intensity 20; 2θ 59.73, intensity 18; 2θ 65.65, intensity 15

Crystal structure
```
14
Lattice="-2.0996 5.4342 6.3567 2.0996 -5.4342 6.3567 2.0996 5.4342 -6.3567" Properties=species:S:1:pos:R:3 pbc="T T T"
Ac 0.0000 0.0000 0.0000
Ac 0.0000 0.0000 4.0436
Ac 0.0000 0.0000 8.6697
Ge 2.0996 2.8193 0.0000
Ge 0.0000 2.6149 6.3567
Pd 2.0996 -1.3995 2.1594
Pd 2.0996 -2.3433 4.8941
Pd 2.0996 1.3995 2.1594
Pd 0.0000 3.0909 1.4625
Pd 0.0000 5.4342 0.0000
Pd 2.0996 2.3433 4.8941
Pd 0.0000 4.0346 4.1973
Pd 0.0000 7.7774 1.4625
Pd 0.0000 6.8337 4.1973
```

---

The following is a computed X-ray powder pattern of AcGe2Pd5. It was derived from a structure optimized by DFT (GGA-PBE), using Cu Kα (weighted mean of Kα1 and Kα2).
Neutral-atom scattering factors, no anomalous dispersion.

Most intense lines, 2θ = 15–90°, low angle first:
2θ 29.27, intensity 20; 2θ 30.39, intensity 18; 2θ 30.81, intensity 22; 2θ 34.33, intensity 100; 2θ 34.60, intensity 89; 2θ 43.73, intensity 51; 2θ 44.54, intensity 36; 2θ 47.36, intensity 20; 2θ 50.45, intensity 18; 2θ 64.19, intensity 32

Crystal structure
```
16
Lattice="4.0684 0.0000 0.0000 0.0000 7.2395 0.0000 0.0000 0.0000 10.0928" Properties=species:S:1:pos:R:3 pbc="T T T"
Ac 0.0000 0.0000 0.0000
Ac 2.0342 3.6198 5.0464
Ge 0.0000 3.6198 2.4487
Ge 0.0000 3.6198 7.6441
Ge 2.0342 0.0000 2.5977
Ge 2.0342 0.0000 7.4951
Pd 0.0000 1.4017 3.5451
Pd 0.0000 1.4017 6.5477
Pd 0.0000 3.6198 0.0000
Pd 0.0000 5.8379 3.5451
Pd 0.0000 5.8379 6.5477
Pd 2.0342 0.0000 5.0464
Pd 2.0342 2.2181 1.5013
Pd 2.0342 2.2181 8.5914
Pd 2.0342 5.0214 1.5013
Pd 2.0342 5.0214 8.5914
```

---

The following is a computed X-ray powder pattern of Ac4GePd2. It was derived from a structure optimized by DFT (GGA-PBE), using Cu Kα (weighted mean of Kα1 and Kα2).
Neutral-atom scattering factors, no anomalous dispersion.

Most intense lines, 2θ = 15–90°, low angle first:
2θ 26.29, intensity 48; 2θ 28.89, intensity 100; 2θ 29.01, intensity 95; 2θ 29.90, intensity 95; 2θ 34.37, intensity 31; 2θ 34.50, intensity 33; 2θ 34.72, intensity 42; 2θ 35.20, intensity 47; 2θ 48.11, intensity 37; 2θ 48.62, intensity 40

Crystal structure
```
14
Lattice="0.0000 6.9255 4.7081 6.8947 0.0000 4.7081 6.8947 6.9255 0.0000" Properties=species:S:1:pos:R:3 pbc="T T T"
Ac 1.6650 0.9198 1.2846
Ac 5.2296 6.0057 1.2846
Ac 5.1124 2.5429 3.6386
Ac 7.7906 5.2401 4.7081
Ac 1.7823 4.3825 3.6386
Ac 5.9988 8.6108 4.7081
Ac 9.4461 8.7029 7.0621
Ac 11.2379 12.0735 7.0621
Ge 3.4473 3.4627 0.6404
Ge 6.8947 6.9255 7.7026
Pd 9.3531 7.9042 4.1734
Pd 12.8004 9.4094 6.5275
Pd 4.4363 5.9467 4.1734
Pd 7.8836 11.3669 6.5275
```